Calculated X-ray diffraction stick pattern
Compound: V3P4O14
Radiation: Cu Ka
Structure: DFT lattice parameters and positions (PBE+U)
Intensities are scaled so that the largest is 100.

Atomic structure:
```
42
Lattice="5.272 0.000 0.000 1.914 6.318 0.000 2.061 1.759 15.466" Properties=species:S:1:pos:R:3 pbc="T T T"
V 1.098 1.317 5.082
V 2.533 5.101 1.263
V 3.919 4.386 12.736
V 5.328 3.691 2.730
V 6.714 2.976 14.203
V 8.149 6.760 10.384
P 2.673 4.323 4.506
P 2.075 1.874 0.607
P 5.533 7.329 12.644
P 3.668 2.409 6.687
P 5.579 5.668 8.779
P 3.714 0.748 2.822
P 7.172 6.203 14.859
P 6.574 3.754 10.960
O 2.601 4.622 11.232
O 2.360 5.694 5.003
O 1.602 3.135 1.375
O 0.966 0.827 0.539
O 3.119 2.447 12.961
O 4.371 6.418 12.196
O 4.228 6.310 9.125
O 2.562 1.400 6.258
O 3.476 3.082 7.971
O 2.433 0.785 3.581
O 3.482 4.376 3.121
O 3.640 3.518 5.391
O 4.765 3.969 14.700
O 5.869 6.764 14.139
O 3.378 1.313 1.326
O 4.482 4.108 0.766
O 5.607 4.559 10.075
O 5.765 3.701 12.345
O 6.814 7.292 11.885
O 5.770 4.995 7.495
O 6.685 6.677 9.208
O 5.019 1.767 6.340
O 4.876 1.659 3.270
O 6.128 5.630 2.505
O 8.281 7.250 14.926
O 7.645 4.942 14.091
O 6.887 2.383 10.462
O 6.646 3.455 4.234
```

Principal peaks in the range 10° ≤ 2θ ≤ 90°, low angle first:
hkl 0 0 2, d = 7.733 Å, 11.44°, rel. 22.2
hkl 0 1 2, d = 5.168 Å, 17.16°, rel. 38.7
hkl 1 0 -2, d = 4.042 Å, 21.99°, rel. 31.1
hkl 1 0 -3, d = 3.440 Å, 25.90°, rel. 54.9
hkl 1 0 4, d = 3.214 Å, 27.76°, rel. 55.2
hkl -1 1 2, d = 3.172 Å, 28.13°, rel. 24.8
hkl 0 2 1, d = 3.144 Å, 28.39°, rel. 36.3
hkl 1 2 2, d = 3.033 Å, 29.45°, rel. 100.0
hkl 1 0 -4, d = 2.933 Å, 30.47°, rel. 31.2
hkl -1 1 3, d = 2.882 Å, 31.03°, rel. 21.8
hkl 0 2 -2, d = 2.800 Å, 31.96°, rel. 27.2
hkl 1 0 5, d = 2.752 Å, 32.53°, rel. 51.1


Calculated X-ray diffraction stick pattern
Compound: VP2O7
Radiation: Cu Ka
Structure: DFT lattice parameters and positions (PBE+U)
Intensities are scaled so that the largest is 100.

Atomic structure:
```
20
Lattice="6.273 0.000 0.000 0.554 6.369 0.000 2.772 -0.093 6.304" Properties=species:S:1:pos:R:3 pbc="T T T"
V 1.485 0.910 1.867
V 8.114 5.366 4.437
P 2.546 4.012 1.603
P 4.968 5.566 5.380
P 4.631 0.710 0.924
P 7.053 2.264 4.701
O 1.886 5.254 2.393
O 1.599 2.800 1.739
O 3.726 5.369 4.497
O 4.279 0.463 6.231
O 2.292 4.415 0.048
O 3.396 0.702 1.839
O 3.954 3.804 1.960
O 5.645 2.472 4.344
O 6.203 5.574 4.465
O 7.307 1.861 6.256
O 5.320 5.813 0.073
O 5.873 0.907 1.807
O 8.000 3.475 4.565
O 7.713 1.022 3.911
```

Principal peaks in the range 10° ≤ 2θ ≤ 90°, low angle first:
hkl 0 1 0, d = 6.368 Å, 13.91°, rel. 41.0
hkl 1 0 0, d = 5.722 Å, 15.49°, rel. 13.8
hkl 1 0 1, d = 5.471 Å, 16.20°, rel. 100.0
hkl 0 1 -1, d = 4.514 Å, 19.67°, rel. 25.0
hkl 1 1 0, d = 4.449 Å, 19.96°, rel. 32.7
hkl 0 0 2, d = 3.152 Å, 28.31°, rel. 40.5
hkl 2 0 1, d = 3.120 Å, 28.61°, rel. 47.5
hkl -1 1 1, d = 3.042 Å, 29.36°, rel. 31.4
hkl 2 1 1, d = 2.902 Å, 30.82°, rel. 14.7
hkl 0 2 -1, d = 2.859 Å, 31.28°, rel. 51.3
hkl 0 2 1, d = 2.825 Å, 31.67°, rel. 40.2
hkl 1 0 3, d = 2.293 Å, 39.28°, rel. 13.8


Calculated X-ray diffraction stick pattern
Compound: VP5O15
Radiation: Cu Ka
Structure: DFT lattice parameters and positions (PBE+U)
Intensities are scaled so that the largest is 100.

Atomic structure:
```
42
Lattice="5.185 0.000 0.000 0.000 13.798 0.000 -1.674 0.000 8.671" Properties=species:S:1:pos:R:3 pbc="T T T"
V 0.000 0.000 0.000
V 0.000 6.899 0.000
P -0.638 3.449 4.443
P -0.351 7.994 5.904
P -0.351 12.703 5.904
P 0.894 8.848 8.477
P 0.894 11.849 8.477
P 2.618 1.949 0.195
P 2.618 4.950 0.195
P 3.862 1.095 2.768
P 3.862 5.804 2.768
P 4.149 10.348 4.228
O -1.321 7.294 6.924
O -1.321 13.403 6.924
O -0.405 2.233 3.355
O -0.405 4.665 3.355
O 0.346 10.348 3.663
O -0.493 1.595 8.563
O -0.493 5.304 8.563
O 0.445 7.146 5.027
O 0.445 13.551 5.027
O 0.487 3.449 5.426
O 1.521 7.994 0.506
O 1.521 12.703 0.506
O 0.633 8.866 6.923
O 0.633 11.830 6.923
O 2.318 10.348 0.270
O 1.193 3.449 8.401
O 2.878 1.967 1.748
O 2.878 4.931 1.748
O 1.990 1.095 8.165
O 1.990 5.804 8.165
O 3.024 10.348 3.246
O 3.066 0.247 3.644
O 3.066 6.652 3.644
O 4.004 8.494 0.108
O 4.004 12.203 0.108
O 3.165 3.449 5.008
O 3.916 9.132 5.316
O 3.916 11.564 5.316
O 4.833 0.395 1.747
O 4.833 6.504 1.747
```

Principal peaks in the range 10° ≤ 2θ ≤ 90°, low angle first:
hkl 0 0 1, d = 8.671 Å, 10.20°, rel. 69.2
hkl 0 1 1, d = 7.342 Å, 12.05°, rel. 49.7
hkl 0 2 1, d = 5.399 Å, 16.42°, rel. 48.5
hkl 1 0 -1, d = 4.806 Å, 18.46°, rel. 100.0
hkl 0 0 2, d = 4.336 Å, 20.48°, rel. 57.9
hkl 1 2 0, d = 4.097 Å, 21.69°, rel. 27.3
hkl 0 3 1, d = 4.063 Å, 21.87°, rel. 53.3
hkl 1 2 -1, d = 3.944 Å, 22.55°, rel. 32.9
hkl 1 2 1, d = 3.503 Å, 25.42°, rel. 64.8
hkl 0 0 3, d = 2.890 Å, 30.94°, rel. 23.7
hkl 1 4 0, d = 2.858 Å, 31.30°, rel. 35.7
hkl 2 2 1, d = 2.205 Å, 40.92°, rel. 26.2


Calculated X-ray diffraction stick pattern
Compound: VP2O7
Radiation: Cu Ka
Structure: DFT lattice parameters and positions (PBE+U)
Intensities are scaled so that the largest is 100.

Atomic structure:
```
20
Lattice="4.871 0.000 0.000 0.000 8.016 0.000 -1.936 0.000 6.718" Properties=species:S:1:pos:R:3 pbc="T T T"
V 0.601 0.000 1.527
V 2.335 4.008 5.191
P -0.024 5.863 4.055
P 1.893 2.542 0.058
P 1.043 6.550 6.659
P 2.960 1.855 2.663
O -0.502 1.404 2.237
O -0.106 6.679 2.781
O -1.102 3.585 6.463
O 1.326 1.123 0.099
O 0.510 6.897 5.178
O 1.763 6.625 0.885
O 0.929 4.664 3.975
O 2.007 0.656 2.742
O 1.173 2.617 5.833
O 2.426 2.889 1.540
O 1.610 5.131 6.619
O 4.038 7.594 0.254
O 3.042 2.671 3.937
O 3.437 5.412 4.480
```

Principal peaks in the range 10° ≤ 2θ ≤ 90°, low angle first:
hkl 0 1 1, d = 5.149 Å, 17.22°, rel. 100.0
hkl 1 1 0, d = 4.042 Å, 21.99°, rel. 23.5
hkl 1 1 -1, d = 3.900 Å, 22.80°, rel. 36.3
hkl 0 2 1, d = 3.442 Å, 25.89°, rel. 11.9
hkl 1 0 1, d = 3.422 Å, 26.04°, rel. 13.0
hkl 1 1 1, d = 3.147 Å, 28.36°, rel. 23.3
hkl 0 1 2, d = 3.098 Å, 28.82°, rel. 9.5
hkl 1 2 -1, d = 2.982 Å, 29.96°, rel. 44.8
hkl 1 1 -2, d = 2.954 Å, 30.26°, rel. 19.1
hkl 0 2 2, d = 2.574 Å, 34.85°, rel. 9.1
hkl 1 1 2, d = 2.324 Å, 38.75°, rel. 11.5
hkl 1 3 -2, d = 2.045 Å, 44.30°, rel. 8.9